[1]
Structure and calculated X-ray powder pattern of Tb2Tm6Mg (a cell relaxed with PBE; Cu Kα).

Structural model:
Unit cell a=3.5068 b=3.5068 c=25.7244 alpha=90.00 beta=90.00 gamma=120.00
Space group P-6m2 (No. 187)
Symmetry-distinct sites (fractional):
Tb  0.0000  0.0000  0.1733
Tm  0.0000  0.0000  0.3930
Tm  0.6667  0.3333  0.0646
Tm  0.6667  0.3333  0.2849
Mg  0.6667  0.3333  0.5000

Main lines, in order of falling intensity (10 to 90 degrees two-theta):
2θ 34.3, I 100, hkl 1 0 5; 2θ 31.3, I 70, hkl 0 0 9; 2θ 32.6, I 46, hkl 1 0 4; 2θ 29.4, I 44, hkl 1 0 0; 2θ 62.1, I 42, hkl 1 1 9; 2θ 52.2, I 41, hkl 1 1 0; 2θ 58.7, I 33, hkl 1 0 14; 2θ 43.5, I 26, hkl 1 0 9; 2θ 63.9, I 17, hkl 2 0 5; 2θ 29.6, I 16, hkl 1 0 1


[2]
Structure and calculated X-ray powder pattern of PaBi2PdO6 (a cell relaxed with PBE; Cu Kα).

Structural model:
Unit cell a=5.811 b=6.188 c=6.264 alpha=117.16 beta=92.04 gamma=117.13
Space group P1 (No. 1)
Symmetry-distinct sites (fractional):
Pa  0.000  0.000  0.000
Bi  0.240  0.421  0.768
Bi  0.708  0.381  0.299
Pd  0.284  0.764  0.408
O  0.139  0.989  0.669
O  0.308  0.952  0.152
O  0.369  0.461  0.153
O  0.651  0.552  0.734
O  0.783  0.160  0.925
O  0.928  0.170  0.362

Main lines, in order of falling intensity (10 to 90 degrees two-theta):
2θ 28.6, I 100, hkl 0 1 -2; 2θ 27.6, I 74, hkl -1 1 1; 2θ 29.0, I 50, hkl 1 -2 1; 2θ 30.8, I 46, hkl 2 -1 0; 2θ 28.3, I 45, hkl 1 0 1; 2θ 32.7, I 33, hkl 1 1 0; 2θ 21.2, I 31, hkl 1 -1 1; 2θ 18.0, I 24, hkl 1 0 0; 2θ 17.4, I 24, hkl 0 1 -1; 2θ 41.7, I 21, hkl 2 0 -2


[3]
Structure and calculated X-ray powder pattern of Tb5PrTh2 (a cell relaxed with PBE; Cu Kα).

Structural model:
Unit cell a=3.545 b=11.250 c=13.329 alpha=90.00 beta=90.00 gamma=90.00
Space group Immm (No. 71)
Symmetry-distinct sites (fractional):
Tb  0.000  0.000  0.000
Tb  0.000  0.271  0.368
Pr  0.000  0.500  0.000
Th  0.000  0.000  0.261

Main lines, in order of falling intensity (10 to 90 degrees two-theta):
2θ 31.2, I 100, hkl 0 2 4; 2θ 30.6, I 53, hkl 1 2 1; 2θ 31.8, I 43, hkl 0 4 0; 2θ 32.3, I 39, hkl 1 0 3; 2θ 61.5, I 29, hkl 2 2 4; 2θ 46.0, I 25, hkl 1 4 3; 2θ 29.6, I 22, hkl 1 1 2; 2θ 57.3, I 21, hkl 1 2 7; 2θ 34.8, I 20, hkl 1 3 0; 2θ 37.9, I 18, hkl 1 1 4


[4]
Structure and calculated X-ray powder pattern of TlCu4Ag3I12 (a cell relaxed with PBE; Cu Kα).

Structural model:
Unit cell a=15.2026 b=15.2026 c=11.6764 alpha=90.00 beta=90.00 gamma=120.00
Space group R32 (No. 155, hexagonal axes)
Symmetry-distinct sites (fractional):
Tl  0.0000  0.0000  0.0000
Cu  0.0000  0.0000  0.5000
Cu  0.0000  0.4205  0.5000
Ag  0.0000  0.5665  0.0000
I  0.0000  0.5875  0.5000
I  0.0000  0.8349  0.5000
I  0.0500  0.2057  0.1920

Main lines, in order of falling intensity (10 to 90 degrees two-theta):
2θ 28.8, I 100, hkl 3 1 2; 2θ 20.3, I 83, hkl 2 0 2; 2θ 25.6, I 61, hkl 1 3 1; 2θ 22.8, I 41, hkl 0 0 3; 2θ 23.5, I 40, hkl 1 2 2; 2θ 19.4, I 40, hkl 2 1 1; 2θ 42.9, I 39, hkl 5 2 0; 2θ 39.5, I 37, hkl 1 3 4; 2θ 51.0, I 33, hkl 0 7 2; 2θ 37.5, I 29, hkl 5 0 2


[5]
Structure and calculated X-ray powder pattern of Dy4Cu5Ni2 (a cell relaxed with PBE; Cu Kα).

Structural model:
Unit cell a=6.813 b=3.893 c=7.741 alpha=90.00 beta=90.29 gamma=90.00
Space group P2/m (No. 10)
Symmetry-distinct sites (fractional):
Dy  0.224  0.000  0.358
Dy  0.245  0.000  0.886
Cu  0.137  0.500  0.616
Cu  0.433  0.500  0.150
Cu  0.500  0.500  0.500
Ni  0.075  0.500  0.134

Main lines, in order of falling intensity (10 to 90 degrees two-theta):
2θ 35.3, I 100, hkl 1 1 2; 2θ 35.0, I 97, hkl 2 1 0; 2θ 35.2, I 90, hkl 1 1 -2; 2θ 46.7, I 38, hkl 0 2 0; 2θ 26.4, I 29, hkl 1 0 -2; 2θ 46.5, I 28, hkl 3 0 2; 2θ 46.9, I 24, hkl 0 0 4; 2θ 46.3, I 24, hkl 3 0 -2; 2θ 26.2, I 23, hkl 2 0 0; 2θ 54.4, I 21, hkl 2 0 -4


Copy entry 2 word for word.
Structure and calculated X-ray powder pattern of PaBi2PdO6 (a cell relaxed with PBE; Cu Kα).

Structural model:
Unit cell a=5.811 b=6.188 c=6.264 alpha=117.16 beta=92.04 gamma=117.13
Space group P1 (No. 1)
Symmetry-distinct sites (fractional):
Pa  0.000  0.000  0.000
Bi  0.240  0.421  0.768
Bi  0.708  0.381  0.299
Pd  0.284  0.764  0.408
O  0.139  0.989  0.669
O  0.308  0.952  0.152
O  0.369  0.461  0.153
O  0.651  0.552  0.734
O  0.783  0.160  0.925
O  0.928  0.170  0.362

Main lines, in order of falling intensity (10 to 90 degrees two-theta):
2θ 28.6, I 100, hkl 0 1 -2; 2θ 27.6, I 74, hkl -1 1 1; 2θ 29.0, I 50, hkl 1 -2 1; 2θ 30.8, I 46, hkl 2 -1 0; 2θ 28.3, I 45, hkl 1 0 1; 2θ 32.7, I 33, hkl 1 1 0; 2θ 21.2, I 31, hkl 1 -1 1; 2θ 18.0, I 24, hkl 1 0 0; 2θ 17.4, I 24, hkl 0 1 -1; 2θ 41.7, I 21, hkl 2 0 -2